Entry 1:
Starting from a structure optimized by DFT (GGA-PBE), the powder diffraction line list of As3Ir was calculated for Cu Ka.
No peak broadening, texture or thermal motion is included.

Crystal structure
```
data_As3Ir
_chemical_formula_sum 'As24 Ir8'
_cell_length_a 8.5960
_cell_length_b 8.5960
_cell_length_c 8.5960
_cell_angle_alpha 90.00
_cell_angle_beta 90.00
_cell_angle_gamma 90.00
_space_group_name_H-M_alt 'I m -3'
_space_group_IT_number 204
_space_group_name_Hall '-I 2 2 3'
loop_
_atom_site_label
_atom_site_type_symbol
_atom_site_fract_x
_atom_site_fract_y
_atom_site_fract_z
_atom_site_occupancy
As1 As 0.0000 0.1458 0.3479 1
Ir1 Ir 0.2500 0.2500 0.2500 1
```

Most intense lines, 2θ = 15–90°, by angle:
d (Å)	Rel. int.	(hkl)
4.298	80.5	2 0 0
3.039	61.8	2 2 0
2.718	65.7	3 1 0
2.481	30.5	2 2 2
1.922	100.0	4 0 2
1.755	62.4	4 2 2

=====

Entry 2:
Starting from a structure optimized by DFT (GGA-PBE), the powder diffraction line list of Li2SmPCO7 was calculated for Cu Ka.
No peak broadening, texture or thermal motion is included.

Crystal structure
```
data_Li2SmPCO7
_chemical_formula_sum 'Li4 Sm2 P2 C2 O14'
_cell_length_a 4.9722
_cell_length_b 6.8781
_cell_length_c 9.2594
_cell_angle_alpha 90.00
_cell_angle_beta 92.97
_cell_angle_gamma 90.00
_space_group_name_H-M_alt 'P 1 21/m 1'
_space_group_IT_number 11
loop_
_space_group_symop_operation_xyz
'x,y,z'
'-x,-y,-z'
'-x,y+1/2,-z'
'x,-y+1/2,z'
loop_
_atom_site_label
_atom_site_type_symbol
_atom_site_fract_x
_atom_site_fract_y
_atom_site_fract_z
_atom_site_occupancy
Li1 Li 0.2019 0.0202 0.3043 1
Sm1 Sm 0.2569 0.2500 0.8729 1
P1 P 0.2656 0.7500 0.9005 1
C1 C 0.2576 0.2500 0.5684 1
O1 O 0.0279 0.2500 0.6321 1
O2 O 0.1271 0.5671 0.8350 1
O3 O 0.2397 0.7500 0.0696 1
O4 O 0.2714 0.2500 0.4315 1
O5 O 0.4265 0.2500 0.1203 1
O6 O 0.4765 0.2500 0.6558 1
```

Most intense lines, 2θ = 15–90°, by angle:
d (Å)	Rel. int.	(hkl)
5.519	89.6	0 1 1
4.472	54.7	1 0 -1
4.026	85.1	1 1 0
3.475	64.8	1 0 -2
3.439	100.0	0 2 0
3.300	43.5	1 0 2

=====

Entry 3:
Starting from a structure optimized by DFT (GGA-PBE), the powder diffraction line list of LaF3 was calculated for Cu Ka.
No peak broadening, texture or thermal motion is included.

Crystal structure
```
data_LaF3
_chemical_formula_sum 'La4 F12'
_cell_length_a 5.8633
_cell_length_b 5.8633
_cell_length_c 5.8633
_cell_angle_alpha 90.00
_cell_angle_beta 90.00
_cell_angle_gamma 90.00
_space_group_name_H-M_alt 'F m -3 m'
_space_group_IT_number 225
_space_group_name_Hall '-F 4 2 3'
loop_
_atom_site_label
_atom_site_type_symbol
_atom_site_fract_x
_atom_site_fract_y
_atom_site_fract_z
_atom_site_occupancy
La1 La 0.0000 0.0000 0.0000 1
F1 F 0.0000 0.0000 0.5000 1
F2 F 0.2500 0.2500 0.2500 1
```

Most intense lines, 2θ = 15–90°, by angle:
d (Å)	Rel. int.	(hkl)
3.385	94.3	1 1 1
2.932	48.8	2 0 0
2.073	100.0	2 2 0
1.768	46.5	3 1 1
1.345	19.4	3 3 1
1.197	29.0	4 2 2

=====

Entry 4:
Starting from a structure optimized by DFT (GGA-PBE), the powder diffraction line list of LaGe2Rh was calculated for Cu Ka.
No peak broadening, texture or thermal motion is included.

Crystal structure
```
data_LaGe2Rh
_chemical_formula_sum 'La4 Ge8 Rh4'
_cell_length_a 4.4166
_cell_length_b 17.3903
_cell_length_c 4.3868
_cell_angle_alpha 90.00
_cell_angle_beta 90.00
_cell_angle_gamma 90.00
_space_group_name_H-M_alt 'C m c m'
_space_group_IT_number 63
_space_group_name_Hall '-C 2c 2'
loop_
_atom_site_label
_atom_site_type_symbol
_atom_site_fract_x
_atom_site_fract_y
_atom_site_fract_z
_atom_site_occupancy
La1 La 0.0000 0.1079 0.2500 1
Ge1 Ge 0.0000 0.2504 0.7500 1
Ge2 Ge 0.0000 0.4582 0.2500 1
Rh1 Rh 0.0000 0.3188 0.2500 1
```

Most intense lines, 2θ = 15–90°, by angle:
d (Å)	Rel. int.	(hkl)
3.064	43.4	1 1 1
2.742	100.0	1 3 1
2.732	57.9	1 5 0
2.418	40.5	0 6 1
2.208	42.0	2 0 0
2.193	41.2	0 0 2

=====

Entry 5:
Starting from a structure optimized by DFT (GGA-PBE), the powder diffraction line list of SrCdO2 was calculated for Cu Ka.
No peak broadening, texture or thermal motion is included.

Crystal structure
```
data_SrCdO2
_chemical_formula_sum 'Sr1 Cd1 O2'
_cell_length_a 3.5525
_cell_length_b 3.5525
_cell_length_c 4.9665
_cell_angle_alpha 90.00
_cell_angle_beta 90.00
_cell_angle_gamma 90.00
_space_group_name_H-M_alt 'P 4/m m m'
_space_group_IT_number 123
_space_group_name_Hall '-P 4 2'
loop_
_atom_site_label
_atom_site_type_symbol
_atom_site_fract_x
_atom_site_fract_y
_atom_site_fract_z
_atom_site_occupancy
Sr1 Sr 0.0000 0.0000 0.0000 1
Cd1 Cd 0.5000 0.5000 0.5000 1
O1 O 0.0000 0.0000 0.5000 1
O2 O 0.5000 0.5000 0.0000 1
```

Most intense lines, 2θ = 15–90°, by angle:
d (Å)	Rel. int.	(hkl)
2.889	100.0	1 0 1
2.512	66.4	1 1 0
2.483	32.1	0 0 2
1.776	22.0	2 0 0
1.766	43.1	1 1 2
1.513	29.6	2 1 1

=====

Entry 6:
Starting from a structure optimized by DFT (GGA-PBE), the powder diffraction line list of Ca2SnS4 was calculated for Cu Ka.
No peak broadening, texture or thermal motion is included.

Crystal structure
```
data_Ca2SnS4
_chemical_formula_sum 'Ca8 Sn4 S16'
_cell_length_a 12.5791
_cell_length_b 3.7839
_cell_length_c 14.0176
_cell_angle_alpha 90.00
_cell_angle_beta 90.00
_cell_angle_gamma 90.00
_space_group_name_H-M_alt 'P n m a'
_space_group_IT_number 62
loop_
_space_group_symop_operation_xyz
'x,y,z'
'-x,-y,-z'
'-x+1/2,-y,z+1/2'
'x+1/2,y,-z+1/2'
'x+1/2,-y+1/2,-z+1/2'
'-x+1/2,y+1/2,z+1/2'
'-x,y+1/2,-z'
'x,-y+1/2,z'
loop_
_atom_site_label
_atom_site_type_symbol
_atom_site_fract_x
_atom_site_fract_y
_atom_site_fract_z
_atom_site_occupancy
Ca1 Ca 0.0665 0.2500 0.1270 1
Ca2 Ca 0.1019 0.2500 0.5863 1
Sn1 Sn 0.2229 0.7500 0.8345 1
S1 S 0.0640 0.7500 0.7219 1
S2 S 0.1039 0.2500 0.9299 1
S3 S 0.1307 0.7500 0.4368 1
S4 S 0.2073 0.7500 0.2044 1
```

Most intense lines, 2θ = 15–90°, by angle:
d (Å)	Rel. int.	(hkl)
3.598	54.9	3 0 2
2.865	100.0	1 1 3
2.754	38.8	3 1 1
2.408	53.0	3 1 3
2.253	36.8	0 1 5
1.893	36.5	0 2 0

=====

Entry 7:
Starting from a structure optimized by DFT (GGA-PBE), the powder diffraction line list of Al2OsRh was calculated for Cu Ka.
No peak broadening, texture or thermal motion is included.

Crystal structure
```
data_Al2OsRh
_chemical_formula_sum 'Al8 Os4 Rh4'
_cell_length_a 6.0266
_cell_length_b 6.0266
_cell_length_c 6.0266
_cell_angle_alpha 90.00
_cell_angle_beta 90.00
_cell_angle_gamma 90.00
_space_group_name_H-M_alt 'F m -3 m'
_space_group_IT_number 225
_space_group_name_Hall '-F 4 2 3'
loop_
_atom_site_label
_atom_site_type_symbol
_atom_site_fract_x
_atom_site_fract_y
_atom_site_fract_z
_atom_site_occupancy
Al1 Al 0.2500 0.2500 0.2500 1
Os1 Os 0.0000 0.0000 0.0000 1
Rh1 Rh 0.0000 0.0000 0.5000 1
```

Most intense lines, 2θ = 15–90°, by angle:
d (Å)	Rel. int.	(hkl)
3.013	62.2	2 0 0
2.131	100.0	2 2 0
1.740	17.1	2 2 2
1.507	16.6	4 0 0
1.348	21.9	4 2 0
1.230	33.9	4 2 2

=====

Entry 8:
Starting from a structure optimized by DFT (GGA-PBE), the powder diffraction line list of Rb2NaDyCl6 was calculated for Cu Ka.
No peak broadening, texture or thermal motion is included.

Crystal structure
```
data_Rb2NaDyCl6
_chemical_formula_sum 'Rb8 Na4 Dy4 Cl24'
_cell_length_a 10.7943
_cell_length_b 10.7943
_cell_length_c 10.7943
_cell_angle_alpha 90.00
_cell_angle_beta 90.00
_cell_angle_gamma 90.00
_space_group_name_H-M_alt 'F m -3 m'
_space_group_IT_number 225
_space_group_name_Hall '-F 4 2 3'
loop_
_atom_site_label
_atom_site_type_symbol
_atom_site_fract_x
_atom_site_fract_y
_atom_site_fract_z
_atom_site_occupancy
Rb1 Rb 0.2500 0.2500 0.2500 1
Na1 Na 0.0000 0.0000 0.0000 1
Dy1 Dy 0.0000 0.0000 0.5000 1
Cl1 Cl 0.0000 0.0000 0.2560 1
```

Most intense lines, 2θ = 15–90°, by angle:
d (Å)	Rel. int.	(hkl)
3.816	100.0	2 2 0
3.255	29.0	3 1 1
2.699	83.0	4 0 0
2.203	46.8	4 2 2
1.908	56.1	4 4 0
1.442	25.0	6 4 2